Structure and calculated X-ray powder pattern of CaMg9Hg3 (DFT lattice parameters and positions (PBE); copper Kα).
Lines closer than 0.1° are merged.

Most intense lines, 15 to 90 degrees two-theta, sorted by position:
d (Å)  I_rel  hkl
5.040  100.0  0 2 1
3.571  25.4  0 0 2
3.559  22.7  0 4 0
2.582  33.7  2 2 0
2.561  32.8  2 2 -2
2.521  42.9  0 4 2
2.289  23.8  2 4 -1
2.257  23.3  0 2 3

Structural model:
Lattice parameters (Å, degrees): 5.9810 14.2342 7.7046 90.00 112.09 90.00
Space group C2/m (No. 12)
Inequivalent atoms, fractional coordinates:
Ca1 0.0000 0.0000 0.0000 x2
Mg1 0.0000 0.0000 0.5000 x2
Mg2 0.1027 0.3912 0.2131 x8
Mg3 0.1738 0.1771 0.3468 x8
Hg1 0.0000 0.5000 0.5000 x2
Hg2 0.2500 0.2500 0.0000 x4

---

Structure and calculated X-ray powder pattern of CsCo2OsCl8 (DFT lattice parameters and positions (PBE); copper Kα).
Lines closer than 0.1° are merged.

Most intense lines, 15 to 90 degrees two-theta, sorted by position:
d (Å)  I_rel  hkl
5.568  14.6  0 1 2
4.577  100.0  1 0 4
3.508  42.5  1 1 0
2.798  20.7  1 1 6
2.288  16.6  2 0 8
2.181  29.5  2 1 4
1.935  10.9  1 1 12
1.754  13.4  2 2 0

Structural model:
Lattice parameters (Å, degrees): 7.0152 7.0152 27.8402 90.00 90.00 120.00
Space group R-3m (No. 166, hexagonal axes)
Inequivalent atoms, fractional coordinates:
Cs1 0.0000 0.0000 0.0000 x3
Co1 0.0000 0.0000 0.2316 x6
Os1 0.0000 0.0000 0.5000 x3
Cl1 0.0000 0.0000 0.3113 x6
Cl2 0.0312 0.5156 0.1128 x18

---

Structure and calculated X-ray powder pattern of NaAg2ClF2 (DFT lattice parameters and positions (PBE); copper Kα).
Lines closer than 0.1° are merged.

Most intense lines, 15 to 90 degrees two-theta, sorted by position:
d (Å)  I_rel  hkl
5.760  100.0  0 0 1
3.275  74.8  0 2 0
2.844  44.9  0 2 1
2.620  83.1  2 1 -1
2.406  30.4  2 1 0
2.364  29.0  2 1 -2
2.163  34.5  0 2 2
1.735  22.7  2 3 -1

Structural model:
Lattice parameters (Å, degrees): 5.7187 6.5496 6.3658 90.00 115.19 90.00
Space group P2_1/m (No. 11)
Inequivalent atoms, fractional coordinates:
Na1 0.0388 0.2500 0.4962 x2
Ag1 0.1789 0.7500 0.0837 x2
Ag2 0.4008 0.2500 0.0759 x2
Cl1 0.4707 0.7500 0.5029 x2
F1 0.1391 0.0025 0.7939 x4

---

Structure and calculated X-ray powder pattern of Ce14Pu3Pd6 (DFT lattice parameters and positions (PBE); copper Kα).
Lines closer than 0.1° are merged.

Most intense lines, 15 to 90 degrees two-theta, sorted by position:
d (Å)  I_rel  hkl
5.194  16.4  1 0 1
3.025  25.2  1 0 2
2.947  50.6  2 1 1
2.662  26.2  3 0 1
2.597  79.8  0 2 2
2.531  100.0  2 2 0
1.813  15.3  4 0 2
1.707  15.5  3 2 2

Structural model:
Lattice parameters (Å, degrees): 10.1245 10.1245 6.4469 90.00 90.00 120.00
Space group P3m1 (No. 156)
Inequivalent atoms, fractional coordinates:
Ce1 0.0000 0.0000 0.0000 x1
Ce2 0.0497 0.5248 0.2110 x3
Ce3 0.1990 0.3981 0.7675 x3
Ce4 0.2960 0.1480 0.4563 x3
Ce5 0.4256 0.2128 0.9629 x3
Ce6 0.6667 0.3333 0.5285 x1
Pu1 0.0000 0.0000 0.5985 x1
Pu2 0.3333 0.6667 0.3992 x1
Pu3 0.6667 0.3333 0.1526 x1
Pd1 0.1481 0.2961 0.2494 x3
Pd2 0.5037 0.0075 0.6748 x3